No. 1
Structure and calculated PXRD pattern of Pm12Rh6Au (a structure optimized by DFT (GGA-PBE); Cu Kα, 1.54184 Å).

Structural model:
Lattice parameters (Å, degrees): 8.723 8.723 8.723 109.47 109.47 109.47
Element x y z (fractional)
Pm 0.117 0.815 0.302
Pm 0.185 0.302 0.487
Pm 0.185 0.698 0.883
Pm 0.302 0.117 0.815
Pm 0.302 0.487 0.185
Pm 0.487 0.185 0.302
Pm 0.513 0.815 0.698
Pm 0.698 0.513 0.815
Pm 0.698 0.883 0.185
Pm 0.815 0.302 0.117
Pm 0.815 0.698 0.513
Pm 0.883 0.185 0.698
Rh 0.134 0.634 0.500
Rh 0.366 0.500 0.866
Rh 0.500 0.134 0.634
Rh 0.500 0.866 0.366
Rh 0.634 0.500 0.134
Rh 0.866 0.366 0.500
Au 0.000 0.000 0.000

Most intense lines, 2θ = 5–70°, in order of rising 2θ:
- d 2.908, 30.75 deg, I 26
- d 2.692, 33.28 deg, I 100
- d 1.975, 45.94 deg, I 23
- d 1.727, 53.01 deg, I 20
- d 1.634, 56.30 deg, I 29
- d 1.424, 65.53 deg, I 16

No. 2
Structure and calculated PXRD pattern of Li2MgF (a structure optimized by DFT (GGA-PBE); Cu Kα, 1.54184 Å).

Structural model:
Lattice parameters (Å, degrees): 5.966 5.966 5.966 119.74 119.74 90.45
Element x y z (fractional)
Li 0.375 0.171 0.296
Li 0.829 0.125 0.204
Li 0.875 0.079 0.704
Li 0.921 0.625 0.796
Mg 0.250 0.750 0.500
Mg 0.500 0.500 0.000
F 0.000 0.000 0.000
F 0.750 0.250 0.500

Most intense lines, 2θ = 5–70°, in order of rising 2θ:
- d 2.995, 29.84 deg, I 49
- d 2.983, 29.96 deg, I 100
- d 2.117, 42.70 deg, I 11
- d 1.727, 53.04 deg, I 34
- d 1.720, 53.26 deg, I 17
- d 1.491, 62.25 deg, I 14

No. 3
Structure and calculated PXRD pattern of Np2SeS3 (a structure optimized by DFT (GGA-PBE); Cu Kα, 1.54184 Å).

Structural model:
Lattice parameters (Å, degrees): 3.962 3.962 7.768 90.00 90.00 90.00
Element x y z (fractional)
Np 0.000 0.500 0.223
Np 0.500 0.000 0.777
Se 0.000 0.000 0.500
S 0.000 0.500 0.861
S 0.500 0.000 0.139
S 0.500 0.500 0.500

Most intense lines, 2θ = 5–70°, in order of rising 2θ:
- d 3.529, 25.23 deg, I 100
- d 2.801, 31.95 deg, I 29
- d 2.272, 39.67 deg, I 60
- d 2.168, 41.67 deg, I 32
- d 1.981, 45.81 deg, I 26
- d 1.727, 53.01 deg, I 29

No. 4
Structure and calculated PXRD pattern of Ag3Pd4Au5 (a structure optimized by DFT (GGA-PBE); Cu Kα, 1.54184 Å).

Structural model:
Lattice parameters (Å, degrees): 6.223 6.223 7.388 99.66 99.66 52.59
Element x y z (fractional)
Ag 0.000 0.000 0.000
Ag 0.414 0.414 0.331
Ag 0.586 0.586 0.669
Pd 0.166 0.166 0.333
Pd 0.248 0.248 0.999
Pd 0.752 0.752 0.001
Pd 0.834 0.834 0.667
Au 0.082 0.082 0.666
Au 0.331 0.331 0.668
Au 0.500 0.500 0.000
Au 0.669 0.669 0.332
Au 0.918 0.918 0.334

Most intense lines, 2θ = 5–70°, in order of rising 2θ:
- d 4.245, 20.93 deg, I 9
- d 2.757, 32.48 deg, I 48
- d 2.418, 37.19 deg, I 100
- d 1.818, 50.19 deg, I 85
- d 1.397, 66.97 deg, I 6
- d 1.395, 67.09 deg, I 12

Which formula does entry 4 have?
Ag3Pd4Au5